For RbLaNiF6, a structure optimized by DFT (PBE+U) gives the computed powder diffractogram in this record (Cu Ka).
No peak broadening, texture or thermal motion is included.

Structural model:
```
RbLaNiF6
1.0
5.967 0.000 0.000
-2.984 5.168 0.000
0.000 0.000 11.355
Rb La Ni F
2 2 2 12
Direct
0.000 0.000 0.000
0.000 0.000 0.500
0.333 0.667 0.250
0.667 0.333 0.750
0.333 0.667 0.750
0.667 0.333 0.250
0.037 0.394 0.650
0.037 0.642 0.850
0.358 0.394 0.850
0.358 0.963 0.650
0.394 0.037 0.150
0.394 0.358 0.350
0.606 0.642 0.650
0.606 0.963 0.850
0.642 0.037 0.350
0.642 0.606 0.150
0.963 0.358 0.150
0.963 0.606 0.350
```

Top 6 peaks for 2θ from 10° to 90°, by angle:
15.6°, d = 5.678 Å, I = 27; 23.3°, d = 3.822 Å, I = 100; 29.9°, d = 2.984 Å, I = 39; 38.3°, d = 2.352 Å, I = 22; 44.0°, d = 2.057 Å, I = 53; 49.3°, d = 1.847 Å, I = 25